Entry 1:
Y3Tm2Tl4: simulated powder diffraction line list (Cu Ka), based on a structure optimized by DFT (PBE).

Principal peaks in the range 2θ from 15° to 90°, most intense first:
31.1°, I = 100; 32.9°, I = 63; 49.2°, I = 22; 29.6°, I = 20; 37.3°, I = 20; 21.7°, I = 19; 42.5°, I = 19; 69.0°, I = 17; 34.2°, I = 17; 30.1°, I = 17

Atomic structure:
Lattice parameters (Å, degrees): 8.513 8.513 9.651 90.00 90.00 130.29
Positions (direct):
Y: 0.000 0.000 0.000
Y: 0.039 0.461 0.250
Y: 0.461 0.039 0.750
Y: 0.500 0.500 0.500
Y: 0.539 0.961 0.250
Y: 0.961 0.539 0.750
Tm: 0.107 0.893 0.448
Tm: 0.393 0.607 0.948
Tm: 0.607 0.393 0.052
Tm: 0.893 0.107 0.552
Tl: 0.197 0.803 0.029
Tl: 0.243 0.257 0.250
Tl: 0.257 0.243 0.750
Tl: 0.303 0.697 0.529
Tl: 0.697 0.303 0.471
Tl: 0.743 0.757 0.250
Tl: 0.757 0.743 0.750
Tl: 0.803 0.197 0.971

***

Entry 2:
Y4Tm3Tl4: simulated powder diffraction line list (Cu Ka), based on a structure optimized by DFT (PBE).

Principal peaks in the range 2θ from 15° to 90°, most intense first:
31.4°, I = 100; 32.6°, I = 96; 34.5°, I = 95; 31.8°, I = 53; 58.4°, I = 41; 39.0°, I = 34; 46.4°, I = 31; 63.6°, I = 28; 38.0°, I = 26; 50.2°, I = 23

Atomic structure:
Lattice parameters (Å, degrees): 10.622 10.622 10.622 160.29 127.03 57.07
Positions (direct):
Y: 0.025 0.838 0.188
Y: 0.350 0.162 0.188
Y: 0.650 0.838 0.812
Y: 0.975 0.162 0.812
Tm: 0.000 0.500 0.500
Tm: 0.404 0.404 0.000
Tm: 0.596 0.596 0.000
Tl: 0.270 0.770 0.500
Tl: 0.280 0.000 0.280
Tl: 0.720 0.000 0.720
Tl: 0.730 0.230 0.500

***

Entry 3:
Y3Tm2Tl: simulated powder diffraction line list (Cu Ka), based on a structure optimized by DFT (PBE).

Principal peaks in the range 2θ from 15° to 90°, most intense first:
33.2°, I = 100; 31.1°, I = 94; 40.5°, I = 58; 29.7°, I = 55; 32.8°, I = 46; 25.3°, I = 40; 58.6°, I = 34; 61.7°, I = 30; 33.6°, I = 28; 39.4°, I = 27

Atomic structure:
Lattice parameters (Å, degrees): 9.148 9.148 7.053 90.00 90.00 39.00
Positions (direct):
Y: 0.170 0.830 0.750
Y: 0.361 0.361 0.000
Y: 0.361 0.361 0.500
Y: 0.639 0.639 0.000
Y: 0.639 0.639 0.500
Y: 0.830 0.170 0.250
Tm: 0.173 0.204 0.750
Tm: 0.204 0.173 0.250
Tm: 0.796 0.827 0.750
Tm: 0.827 0.796 0.250
Tl: 0.314 0.686 0.250
Tl: 0.686 0.314 0.750

***

Entry 4:
Y2Tm2Tl: simulated powder diffraction line list (Cu Ka), based on a structure optimized by DFT (PBE).

Principal peaks in the range 2θ from 15° to 90°, most intense first:
34.5°, I = 100; 33.0°, I = 53; 29.9°, I = 52; 32.6°, I = 47; 30.7°, I = 42; 66.3°, I = 22; 57.9°, I = 21; 62.2°, I = 18; 49.9°, I = 15; 56.9°, I = 15

Atomic structure:
Lattice parameters (Å, degrees): 6.409 6.409 8.495 107.52 107.52 100.56
Positions (direct):
Y: 0.133 0.762 0.782
Y: 0.238 0.867 0.218
Y: 0.762 0.133 0.782
Y: 0.867 0.238 0.218
Tm: 0.224 0.224 0.621
Tm: 0.339 0.339 0.081
Tm: 0.661 0.661 0.919
Tm: 0.776 0.776 0.379
Tl: 0.340 0.660 0.500
Tl: 0.660 0.340 0.500

***

Entry 5:
Y5Tm4Tl: simulated powder diffraction line list (Cu Ka), based on a structure optimized by DFT (PBE).

Principal peaks in the range 2θ from 15° to 90°, most intense first:
29.9°, I = 100; 27.4°, I = 70; 34.7°, I = 67; 31.6°, I = 58; 39.0°, I = 46; 29.0°, I = 34; 37.1°, I = 31; 40.4°, I = 30; 24.2°, I = 27; 49.5°, I = 27

Atomic structure:
Lattice parameters (Å, degrees): 7.890 7.890 7.890 98.73 98.73 134.13
Positions (direct):
Y: 0.000 0.000 0.000
Y: 0.437 0.524 0.623
Y: 0.524 0.901 0.087
Y: 0.814 0.437 0.913
Y: 0.901 0.814 0.377
Tm: 0.123 0.525 0.305
Tm: 0.220 0.818 0.695
Tm: 0.525 0.220 0.402
Tm: 0.818 0.123 0.598
Tl: 0.466 0.466 0.000

***

Entry 6:
YTm3Tl2: simulated powder diffraction line list (Cu Ka), based on a structure optimized by DFT (PBE).

Principal peaks in the range 2θ from 15° to 90°, most intense first:
32.6°, I = 100; 33.0°, I = 80; 31.7°, I = 71; 35.8°, I = 62; 35.2°, I = 48; 38.0°, I = 28; 57.8°, I = 25; 53.2°, I = 22; 30.2°, I = 20; 31.9°, I = 18

Atomic structure:
Lattice parameters (Å, degrees): 5.021 9.844 6.827 90.00 90.00 90.00
Positions (direct):
Y: 0.000 0.045 0.000
Y: 0.000 0.955 0.500
Tm: 0.000 0.312 0.617
Tm: 0.000 0.688 0.117
Tm: 0.500 0.192 0.285
Tm: 0.500 0.455 0.903
Tm: 0.500 0.545 0.403
Tm: 0.500 0.808 0.785
Tl: 0.000 0.370 0.159
Tl: 0.000 0.630 0.659
Tl: 0.500 0.131 0.741
Tl: 0.500 0.869 0.241

***

Entry 7:
Tm7TlZn4: simulated powder diffraction line list (Cu Ka), based on a structure optimized by DFT (PBE).

Principal peaks in the range 2θ from 15° to 90°, most intense first:
32.0°, I = 100; 36.8°, I = 47; 32.8°, I = 32; 34.7°, I = 31; 33.2°, I = 25; 46.5°, I = 25; 25.8°, I = 20; 46.8°, I = 20; 41.6°, I = 12; 60.2°, I = 11

Atomic structure:
Lattice parameters (Å, degrees): 7.482 7.482 8.857 117.19 117.19 43.90
Positions (direct):
Tm: 0.000 0.000 0.000
Tm: 0.223 0.223 0.683
Tm: 0.314 0.314 0.126
Tm: 0.423 0.423 0.589
Tm: 0.577 0.577 0.411
Tm: 0.686 0.686 0.874
Tm: 0.777 0.777 0.317
Tl: 0.500 0.500 0.000
Zn: 0.018 0.018 0.673
Zn: 0.188 0.188 0.335
Zn: 0.812 0.812 0.665
Zn: 0.982 0.982 0.327

***

Entry 8:
TmTlZn: simulated powder diffraction line list (Cu Ka), based on a structure optimized by DFT (PBE).

Principal peaks in the range 2θ from 15° to 90°, most intense first:
32.5°, I = 100; 32.6°, I = 40; 35.0°, I = 39; 40.0°, I = 38; 33.3°, I = 34; 46.9°, I = 28; 39.6°, I = 22; 63.3°, I = 20; 35.2°, I = 19; 28.5°, I = 19

Atomic structure:
Lattice parameters (Å, degrees): 13.662 3.873 7.777 90.00 90.00 90.00
Positions (direct):
Tm: 0.056 0.000 0.225
Tm: 0.250 0.000 0.817
Tm: 0.444 0.000 0.225
Tm: 0.556 0.000 0.775
Tm: 0.750 0.000 0.183
Tm: 0.944 0.000 0.775
Tl: 0.112 0.500 0.564
Tl: 0.250 0.500 0.153
Tl: 0.388 0.500 0.564
Tl: 0.612 0.500 0.436
Tl: 0.750 0.500 0.847
Tl: 0.888 0.500 0.436
Zn: 0.087 0.500 0.932
Zn: 0.250 0.000 0.427
Zn: 0.413 0.500 0.932
Zn: 0.587 0.500 0.068
Zn: 0.750 0.000 0.573
Zn: 0.913 0.500 0.068

***

Entry 9:
Tm12Tl6Zn: simulated powder diffraction line list (Cu Ka), based on a structure optimized by DFT (PBE).

Principal peaks in the range 2θ from 15° to 90°, most intense first:
35.8°, I = 100; 36.0°, I = 94; 21.7°, I = 70; 31.7°, I = 37; 30.3°, I = 30; 42.3°, I = 29; 51.7°, I = 27; 64.4°, I = 22; 21.8°, I = 20; 37.2°, I = 16

Atomic structure:
Lattice parameters (Å, degrees): 8.670 8.670 8.670 99.78 99.78 99.78
Positions (direct):
Tm: 0.049 0.937 0.685
Tm: 0.063 0.315 0.951
Tm: 0.181 0.572 0.432
Tm: 0.315 0.951 0.063
Tm: 0.428 0.568 0.819
Tm: 0.432 0.181 0.572
Tm: 0.568 0.819 0.428
Tm: 0.572 0.432 0.181
Tm: 0.685 0.049 0.937
Tm: 0.819 0.428 0.568
Tm: 0.937 0.685 0.049
Tm: 0.951 0.063 0.315
Tl: 0.135 0.302 0.615
Tl: 0.302 0.615 0.135
Tl: 0.385 0.865 0.698
Tl: 0.615 0.135 0.302
Tl: 0.698 0.385 0.865
Tl: 0.865 0.698 0.385
Zn: 0.000 0.000 0.000

***

Entry 10:
Tm12TlZn6: simulated powder diffraction line list (Cu Ka), based on a structure optimized by DFT (PBE).

Principal peaks in the range 2θ from 15° to 90°, most intense first:
34.0°, I = 100; 31.4°, I = 60; 57.6°, I = 37; 54.2°, I = 31; 28.6°, I = 28; 36.4°, I = 28; 67.1°, I = 23; 47.0°, I = 18; 84.5°, I = 15; 83.1°, I = 13

Atomic structure:
Lattice parameters (Å, degrees): 8.544 8.544 8.544 109.47 109.47 109.47
Positions (direct):
Tm: 0.096 0.289 0.807
Tm: 0.193 0.481 0.289
Tm: 0.193 0.904 0.711
Tm: 0.289 0.193 0.481
Tm: 0.289 0.807 0.096
Tm: 0.481 0.289 0.193
Tm: 0.519 0.711 0.807
Tm: 0.711 0.193 0.904
Tm: 0.711 0.807 0.519
Tm: 0.807 0.096 0.289
Tm: 0.807 0.519 0.711
Tm: 0.904 0.711 0.193
Tl: 0.000 0.000 0.000
Zn: 0.124 0.500 0.624
Zn: 0.376 0.876 0.500
Zn: 0.500 0.376 0.876
Zn: 0.500 0.624 0.124
Zn: 0.624 0.124 0.500
Zn: 0.876 0.500 0.376

***

Entry 11:
Tm5ZrTl4: simulated powder diffraction line list (Cu Ka), based on a structure optimized by DFT (PBE).

Principal peaks in the range 2θ from 15° to 90°, most intense first:
33.0°, I = 100; 35.9°, I = 41; 62.7°, I = 32; 57.0°, I = 21; 51.7°, I = 14; 42.7°, I = 12; 69.2°, I = 12; 72.1°, I = 10; 85.5°, I = 7; 87.1°, I = 7

Atomic structure:
Lattice parameters (Å, degrees): 3.538 3.538 21.153 90.00 90.00 90.00
Positions (direct):
Tm: 0.000 0.000 0.000
Tm: 0.000 0.000 0.200
Tm: 0.000 0.000 0.398
Tm: 0.000 0.000 0.602
Tm: 0.000 0.000 0.800
Zr: 0.500 0.500 0.500
Tl: 0.500 0.500 0.099
Tl: 0.500 0.500 0.297
Tl: 0.500 0.500 0.703
Tl: 0.500 0.500 0.901

***

Entry 12:
U6Tl: simulated powder diffraction line list (Cu Ka), based on a structure optimized by DFT (PBE).

Principal peaks in the range 2θ from 15° to 90°, most intense first:
30.6°, I = 100; 47.5°, I = 61; 24.9°, I = 42; 43.8°, I = 41; 51.0°, I = 35; 17.5°, I = 28; 75.0°, I = 24; 83.1°, I = 20; 72.2°, I = 18; 57.5°, I = 17

Atomic structure:
Lattice parameters (Å, degrees): 6.204 6.204 6.204 109.47 109.47 109.47
Positions (direct):
U: 0.250 0.500 0.750
U: 0.250 0.750 0.500
U: 0.500 0.250 0.750
U: 0.500 0.750 0.250
U: 0.750 0.250 0.500
U: 0.750 0.500 0.250
Tl: 0.000 0.000 0.000